Entry 1:
Calculated X-ray diffraction stick pattern
Compound: Np3Ni2As4
Radiation: Cu Kα (weighted mean of Kα1 and Kα2)
Structure: DFT lattice parameters and positions (PBE)

Most intense lines, 10 to 90 degrees two-theta, by angle:
two_theta	Rel. int.
23.3	56
24.6	41
26.8	37
29.7	63
35.0	44
35.5	95
36.2	35
36.8	100
38.1	53
45.6	46

Cell and atoms:
```
data_Np3Ni2As4
_symmetry_space_group_name_H-M 'C 1 2/m 1'
_symmetry_Int_Tables_number 12
_symmetry_space_group_name_Hall '-C 2y'
_cell_length_a 14.677
_cell_length_b 3.976
_cell_length_c 6.665
_cell_angle_alpha 90.00
_cell_angle_beta 113.15
_cell_angle_gamma 90.00
loop_
_atom_site_label
_atom_site_type_symbol
_atom_site_fract_x
_atom_site_fract_y
_atom_site_fract_z
Np1 Np 0.000 0.000 0.000
Np2 Np 0.135 0.000 0.577
Ni1 Ni 0.188 0.500 0.993
As1 As 0.020 0.500 0.720
As2 As 0.210 0.000 0.219
```


Entry 2:
Calculated X-ray diffraction stick pattern
Compound: Np2Ni12As7
Radiation: Cu Kα (weighted mean of Kα1 and Kα2)
Structure: DFT lattice parameters and positions (PBE)

Most intense lines, 10 to 90 degrees two-theta, by angle:
two_theta	Rel. int.
32.1	21
33.0	17
37.5	100
38.3	11
46.7	15
47.5	22
51.4	23
54.7	19
72.6	17
81.7	10

Cell and atoms:
```
data_Np2Ni12As7
_symmetry_space_group_name_H-M 'P -6'
_symmetry_Int_Tables_number 174
_symmetry_space_group_name_Hall 'P -6'
_cell_length_a 9.4077
_cell_length_b 9.4077
_cell_length_c 3.8251
_cell_angle_alpha 90.00
_cell_angle_beta 90.00
_cell_angle_gamma 120.00
loop_
_atom_site_label
_atom_site_type_symbol
_atom_site_fract_x
_atom_site_fract_y
_atom_site_fract_z
Np1 Np 0.0000 0.0000 0.0000
Np2 Np 0.3333 0.6667 0.5000
Ni1 Ni 0.0451 0.2876 0.5000
Ni2 Ni 0.1042 0.7164 0.0000
Ni3 Ni 0.3877 0.1812 0.0000
Ni4 Ni 0.5487 0.4272 0.5000
As1 As 0.0705 0.4513 0.0000
As2 As 0.2586 0.2222 0.5000
As3 As 0.6667 0.3333 0.0000
```


Entry 3:
Calculated X-ray diffraction stick pattern
Compound: NpNiAsP
Radiation: Cu Kα (weighted mean of Kα1 and Kα2)
Structure: DFT lattice parameters and positions (PBE)

Most intense lines, 10 to 90 degrees two-theta, by angle:
two_theta	Rel. int.
18.8	38
24.2	39
25.4	57
32.7	60
36.3	71
37.2	52
38.0	100
45.5	26
60.2	26
61.9	30

Cell and atoms:
```
data_NpNiAsP
_symmetry_space_group_name_H-M 'I m m 2'
_symmetry_Int_Tables_number 44
_symmetry_space_group_name_Hall 'I 2 -2'
_cell_length_a 3.768
_cell_length_b 3.987
_cell_length_c 9.464
_cell_angle_alpha 90.00
_cell_angle_beta 90.00
_cell_angle_gamma 90.00
loop_
_atom_site_label
_atom_site_type_symbol
_atom_site_fract_x
_atom_site_fract_y
_atom_site_fract_z
Np1 Np 0.000 0.000 0.000
Ni1 Ni 0.000 0.500 0.235
As1 As 0.000 0.000 0.359
P1 P 0.000 0.000 0.615
```